1.
For CaTmMn2O6, a DFT-relaxed cell (PBE+U, the Materials Project) gives the simulated XRD peak list in this record (Cu Ka).

Top 10 peaks for 15° ≤ 2θ ≤ 90°, by angle:
- 2θ = 26.05°, I 48
- 2θ = 32.30°, I 23
- 2θ = 33.27°, I 100
- 2θ = 33.76°, I 24
- 2θ = 42.92°, I 15
- 2θ = 47.42°, I 24
- 2θ = 48.10°, I 16
- 2θ = 49.01°, I 13
- 2θ = 53.93°, I 15
- 2θ = 60.07°, I 34

Cell and atoms:
```
CaTmMn2O6
1.0
7.566 0.000 0.000
0.000 5.311 0.000
0.000 0.000 5.542
Ca Tm Mn O
2 2 4 12
Direct
0.000 0.237 0.000
0.000 0.763 0.500
0.500 0.265 0.123
0.500 0.735 0.623
0.249 0.246 0.556
0.249 0.754 0.056
0.751 0.246 0.556
0.751 0.754 0.056
0.000 0.336 0.583
0.000 0.664 0.083
0.215 0.058 0.249
0.215 0.942 0.749
0.312 0.454 0.850
0.312 0.546 0.350
0.500 0.144 0.520
0.500 0.856 0.020
0.688 0.454 0.850
0.688 0.546 0.350
0.785 0.058 0.249
0.785 0.942 0.749
```

2.
For CaMnWO6, a DFT-relaxed cell (PBE+U, the Materials Project) gives the simulated XRD peak list in this record (Cu Ka).

Top 10 peaks for 15° ≤ 2θ ≤ 90°, by angle:
- 2θ = 20.22°, I 31
- 2θ = 20.39°, I 31
- 2θ = 23.49°, I 100
- 2θ = 33.24°, I 16
- 2θ = 33.45°, I 64
- 2θ = 33.67°, I 15
- 2θ = 39.34°, I 18
- 2θ = 48.04°, I 34
- 2θ = 54.14°, I 27
- 2θ = 60.08°, I 15

Cell and atoms:
```
CaMnWO6
1.0
5.323 0.000 0.000
0.000 5.390 0.000
-5.318 0.000 7.576
Ca Mn W O
2 2 2 12
Direct
0.000 0.207 0.000
0.000 0.793 0.500
0.242 0.251 0.749
0.242 0.749 0.249
0.742 0.259 0.249
0.742 0.741 0.749
0.055 0.033 0.280
0.055 0.967 0.780
0.411 0.463 0.212
0.411 0.537 0.712
0.489 0.031 0.717
0.489 0.969 0.217
0.561 0.261 0.998
0.561 0.739 0.498
0.930 0.239 0.501
0.930 0.761 0.001
0.989 0.457 0.787
0.989 0.543 0.287
```

3.
For Ca3Mn2WO9, a DFT-relaxed cell (PBE+U, the Materials Project) gives the simulated XRD peak list in this record (Cu Ka).

Top 10 peaks for 15° ≤ 2θ ≤ 90°, by angle:
- 2θ = 19.47°, I 43
- 2θ = 22.58°, I 38
- 2θ = 22.83°, I 78
- 2θ = 32.02°, I 50
- 2θ = 32.25°, I 100
- 2θ = 32.39°, I 98
- 2θ = 32.98°, I 44
- 2θ = 46.10°, I 32
- 2θ = 46.63°, I 58
- 2θ = 57.25°, I 57

Cell and atoms:
```
Ca3Mn2WO9
1.0
7.877 0.000 0.000
0.000 5.590 0.000
-7.781 0.000 16.294
Ca Mn W O
12 8 4 36
Direct
0.078 0.043 0.337
0.078 0.457 0.837
0.235 0.554 0.503
0.235 0.946 0.003
0.390 0.056 0.655
0.390 0.444 0.155
0.610 0.556 0.845
0.610 0.944 0.345
0.765 0.054 0.997
0.765 0.446 0.497
0.922 0.543 0.163
0.922 0.957 0.663
0.000 0.000 0.500
0.000 0.500 0.000
0.166 0.506 0.667
0.166 0.994 0.167
0.500 0.000 0.500
0.500 0.500 0.000
0.834 0.006 0.833
0.834 0.494 0.333
0.335 0.003 0.832
0.335 0.497 0.332
0.665 0.503 0.668
0.665 0.997 0.168
0.114 0.195 0.073
0.114 0.305 0.573
0.130 0.026 0.864
0.130 0.474 0.364
0.133 0.700 0.098
0.133 0.800 0.598
0.189 0.200 0.736
0.189 0.300 0.236
0.213 0.712 0.766
0.213 0.788 0.266
0.234 0.528 0.975
0.234 0.972 0.475
0.445 0.210 0.394
0.445 0.290 0.894
0.465 0.029 0.203
0.465 0.471 0.703
0.481 0.692 0.427
0.481 0.808 0.927
0.519 0.192 0.073
0.519 0.308 0.573
0.535 0.529 0.297
0.535 0.971 0.797
0.555 0.710 0.106
0.555 0.790 0.606
0.766 0.028 0.525
0.766 0.472 0.025
0.787 0.212 0.734
0.787 0.288 0.234
0.811 0.700 0.764
0.811 0.800 0.264
0.867 0.200 0.402
0.867 0.300 0.902
0.870 0.526 0.636
0.870 0.974 0.136
0.886 0.695 0.427
0.886 0.805 0.927
```

4.
For Ca3Mn2W2O12, a DFT-relaxed cell (PBE+U, the Materials Project) gives the simulated XRD peak list in this record (Cu Ka).

Top 10 peaks for 15° ≤ 2θ ≤ 90°, by angle:
- 2θ = 19.71°, I 35
- 2θ = 19.91°, I 61
- 2θ = 21.72°, I 63
- 2θ = 23.41°, I 100
- 2θ = 31.80°, I 41
- 2θ = 31.98°, I 42
- 2θ = 32.27°, I 38
- 2θ = 32.54°, I 37
- 2θ = 33.27°, I 36
- 2θ = 33.42°, I 35

Cell and atoms:
```
Ca3Mn2W2O12
1.0
5.519 0.000 0.000
0.424 5.628 0.000
0.025 0.070 7.609
Ca Mn W O
3 2 2 12
Direct
0.000 0.000 0.000
0.002 0.098 0.496
0.521 0.495 0.001
0.008 0.548 0.250
0.499 0.036 0.750
0.006 0.549 0.741
0.501 0.037 0.259
0.096 0.569 0.001
0.171 0.836 0.716
0.217 0.863 0.282
0.285 0.323 0.290
0.285 0.329 0.712
0.421 0.071 0.999
0.588 0.019 0.501
0.714 0.760 0.808
0.716 0.759 0.196
0.773 0.233 0.209
0.812 0.283 0.800
0.929 0.531 0.500
```

5.
For Ca2YMn3O9, a DFT-relaxed cell (PBE+U, the Materials Project) gives the simulated XRD peak list in this record (Cu Ka).

Top 10 peaks for 15° ≤ 2θ ≤ 90°, by angle:
- 2θ = 32.64°, I 23
- 2θ = 33.16°, I 100
- 2θ = 33.51°, I 24
- 2θ = 47.48°, I 32
- 2θ = 47.73°, I 19
- 2θ = 58.59°, I 12
- 2θ = 59.02°, I 10
- 2θ = 59.57°, I 11
- 2θ = 59.68°, I 24
- 2θ = 69.61°, I 16

Cell and atoms:
```
Ca2YMn3O9
1.0
16.459 0.000 0.000
0.000 7.622 0.000
0.000 0.000 5.349
Ca Y Mn O
8 4 12 36
Direct
0.018 0.250 0.012
0.183 0.250 0.489
0.317 0.750 0.989
0.482 0.750 0.512
0.518 0.250 0.488
0.683 0.250 0.011
0.817 0.750 0.511
0.982 0.750 0.988
0.147 0.750 0.514
0.353 0.250 0.014
0.647 0.750 0.986
0.853 0.250 0.486
0.000 0.000 0.500
0.000 0.500 0.500
0.167 0.001 0.001
0.167 0.499 0.001
0.333 0.501 0.501
0.333 0.999 0.501
0.500 0.000 0.000
0.500 0.500 0.000
0.667 0.001 0.499
0.667 0.499 0.499
0.833 0.501 0.999
0.833 0.999 0.999
0.008 0.750 0.419
0.071 0.551 0.792
0.071 0.949 0.792
0.100 0.035 0.301
0.100 0.465 0.301
0.159 0.250 0.920
0.175 0.750 0.093
0.234 0.548 0.700
0.234 0.952 0.700
0.266 0.048 0.200
0.266 0.452 0.200
0.325 0.250 0.593
0.341 0.750 0.420
0.400 0.535 0.801
0.400 0.965 0.801
0.429 0.051 0.292
0.429 0.449 0.292
0.492 0.250 0.919
0.508 0.750 0.081
0.571 0.551 0.708
0.571 0.949 0.708
0.600 0.035 0.199
0.600 0.465 0.199
0.659 0.250 0.580
0.675 0.750 0.407
0.734 0.548 0.800
0.734 0.952 0.800
0.766 0.048 0.300
0.766 0.452 0.300
0.825 0.250 0.907
0.841 0.750 0.080
0.900 0.535 0.699
0.900 0.965 0.699
0.929 0.051 0.208
0.929 0.449 0.208
0.992 0.250 0.581
```

6.
For Ca2YMnO5, a DFT-relaxed cell (PBE+U, the Materials Project) gives the simulated XRD peak list in this record (Cu Ka).

Top 10 peaks for 15° ≤ 2θ ≤ 90°, by angle:
- 2θ = 21.59°, I 20
- 2θ = 22.80°, I 20
- 2θ = 25.26°, I 17
- 2θ = 31.59°, I 100
- 2θ = 31.91°, I 36
- 2θ = 33.00°, I 38
- 2θ = 44.00°, I 18
- 2θ = 46.56°, I 35
- 2θ = 56.66°, I 19
- 2θ = 58.05°, I 22

Cell and atoms:
```
Ca2YMnO5
1.0
-8.232 2.805 2.714
8.232 -2.805 2.714
8.232 2.805 -2.714
Ca Y Mn O
4 2 2 10
Direct
0.026 0.099 0.126
0.026 0.401 0.427
0.974 0.599 0.573
0.974 0.901 0.874
0.490 0.780 0.210
0.570 0.280 0.790
0.479 0.479 0.000
0.479 0.979 0.500
0.017 0.689 0.828
0.364 0.068 0.556
0.364 0.308 0.795
0.481 0.218 0.232
0.481 0.749 0.763
0.513 0.568 0.205
0.513 0.808 0.444
0.861 0.189 0.172
0.986 0.249 0.768
0.986 0.718 0.237
```

7.
For Ca3MnZnO6, a DFT-relaxed cell (PBE+U, the Materials Project) gives the simulated XRD peak list in this record (Cu Ka).

Top 10 peaks for 15° ≤ 2θ ≤ 90°, by angle:
- 2θ = 19.09°, I 67
- 2θ = 31.45°, I 37
- 2θ = 33.38°, I 100
- 2θ = 40.25°, I 32
- 2θ = 41.28°, I 17
- 2θ = 44.91°, I 53
- 2θ = 46.52°, I 46
- 2θ = 59.66°, I 17
- 2θ = 60.77°, I 29
- 2θ = 70.12°, I 17

Cell and atoms:
```
Ca3MnZnO6
1.0
4.649 2.684 3.596
-4.649 2.684 3.596
0.000 -5.368 3.596
Ca Mn Zn O
6 2 2 12
Direct
0.113 0.750 0.387
0.250 0.613 0.887
0.387 0.113 0.750
0.613 0.887 0.250
0.750 0.387 0.113
0.887 0.250 0.613
0.000 0.000 0.000
0.500 0.500 0.500
0.250 0.250 0.250
0.750 0.750 0.750
0.046 0.917 0.715
0.083 0.285 0.954
0.215 0.417 0.546
0.285 0.954 0.083
0.417 0.546 0.215
0.454 0.785 0.583
0.546 0.215 0.417
0.583 0.454 0.785
0.715 0.046 0.917
0.785 0.583 0.454
0.917 0.715 0.046
0.954 0.083 0.285
```